Computed powder diffractogram of Dy4Al for Cu Kα X-rays, from the GGA-PBE geometry in the Materials Project.
No peak broadening, texture or thermal motion is included.

Largest 10 diffraction maxima, by intensity, 15 to 90 degrees two-theta:
Position (°2θ)  intensity
27.74  100
32.14  44
46.09  32
54.65  29
42.15  26
35.11  16
59.24  14
64.22  12
69.01  10
74.22  7

```
data_Dy4Al
_chemical_formula_sum 'Dy8 Al2'
_space_group_name_H-M_alt 'P 1'
_space_group_IT_number 1
_space_group_name_Hall 'P 1'
_cell_length_a 7.877
_cell_length_b 7.877
_cell_length_c 7.877
_cell_angle_alpha 60.00
_cell_angle_beta 60.00
_cell_angle_gamma 60.00
loop_
_atom_site_label
_atom_site_fract_x
_atom_site_fract_y
_atom_site_fract_z
_atom_site_occupancy
Dy1 0.195 0.768 0.768 1
Dy2 0.232 0.232 0.232 1
Dy3 0.232 0.232 0.805 1
Dy4 0.232 0.805 0.232 1
Dy5 0.768 0.195 0.768 1
Dy6 0.768 0.768 0.195 1
Dy7 0.768 0.768 0.768 1
Dy8 0.805 0.232 0.232 1
Al1 0.375 0.375 0.375 1
Al2 0.625 0.625 0.625 1
```